The following is a computed XRD peak list of NaZnMoHO5. It was derived from the GGA+U geometry in the Materials Project, using copper Kα.
Lines closer than 0.1° are merged.

Most intense lines, 10 to 80 degrees two-theta, in order of rising 2θ:
Position (°2θ)  d/Å  Rel. int.  h k l
17.02  5.210  838  0 1 1
20.38  4.358  305  1 1 1
21.97  4.045  306  1 0 2
24.31  3.661  513  2 0 1
26.23  3.398  546  1 1 2
26.56  3.356  865  2 1 0
30.67  2.915  829  1 0 3
32.18  2.782  1000  1 2 1
32.79  2.731  368  2 1 2
33.93  2.642  457  1 1 3
47.21  1.925  309  3 1 3
53.98  1.699  766  3 2 3

Crystal structure
Cell lengths 7.9502, 6.2598, 9.3984 Å; angles 90.00, 90.00, 90.00 degrees
Positions (direct):
Na  0.1480  0.2500  0.1937
Na  0.3520  0.7500  0.6937
Na  0.6480  0.2500  0.3063
Na  0.8520  0.7500  0.8063
Zn  0.0000  0.0000  0.5000
Zn  0.0000  0.5000  0.5000
Zn  0.5000  0.0000  0.0000
Zn  0.5000  0.5000  0.0000
Mo  0.1173  0.2500  0.8356
Mo  0.3827  0.7500  0.3356
Mo  0.6173  0.2500  0.6644
Mo  0.8827  0.7500  0.1644
H  0.2449  0.2500  0.4816
H  0.2551  0.7500  0.9816
H  0.7449  0.2500  0.0184
H  0.7551  0.7500  0.5184
O  0.0528  0.7500  0.0416
O  0.1057  0.0154  0.7254
O  0.1057  0.4846  0.7254
O  0.1307  0.2500  0.4392
O  0.1907  0.7500  0.4434
O  0.3093  0.2500  0.9434
O  0.3693  0.7500  0.9392
O  0.3943  0.5154  0.2254
O  0.3943  0.9846  0.2254
O  0.4472  0.2500  0.5416
O  0.5528  0.7500  0.4584
O  0.6057  0.0154  0.7746
O  0.6057  0.4846  0.7746
O  0.6307  0.2500  0.0608
O  0.6907  0.7500  0.0566
O  0.8093  0.2500  0.5566
O  0.8693  0.7500  0.5608
O  0.8943  0.5154  0.2746
O  0.8943  0.9846  0.2746
O  0.9472  0.2500  0.9584